Structure and simulated X-ray powder pattern of YAsBrO4 (DFT lattice parameters and positions (PBE); Cu Kα (weighted mean of Kα1 and Kα2)).

Atomic structure:
Lattice parameters (Å, degrees): 11.661 6.359 6.801 90.00 102.27 90.00
Space group C2/m (No. 12)
Inequivalent atoms, fractional coordinates:
1 Y 0.203 0.000 0.330 (multiplicity 4)
2 As 0.135 0.000 0.763 (multiplicity 4)
3 Br 0.022 0.500 0.173 (multiplicity 4)
4 O 0.012 0.000 0.266 (multiplicity 4)
5 O 0.182 0.205 0.627 (multiplicity 8)
6 O 0.205 0.000 0.007 (multiplicity 4)

Main lines, most intense first (2θ = 15–90°):
2theta, d/Å, intensity
27.4, 3.261, 100
28.1, 3.179, 67
28.2, 3.165, 34
26.8, 3.323, 33
47.0, 1.931, 27
39.2, 2.297, 24
29.9, 2.991, 22
55.5, 1.655, 19